For Sc11Al2Ge8, the GGA-PBE geometry in Alexandria gives the computed X-ray powder pattern in this record (CuKα).

Principal peaks in the range 2θ = 10–90°, by angle:
2theta	I (rel.)	hkl
34.37	32	4 0 0
35.56	53	2 1 5
35.85	100	0 0 6
36.25	26	3 1 4
36.50	90	3 3 0
39.66	35	3 0 5
39.95	34	2 0 6
47.17	28	5 0 3
52.59	29	6 0 0
73.14	18	7 2 5

Crystal structure
Cell lengths 10.4383, 10.4383, 15.0073 Å; angles 90.00, 90.00, 90.00 degrees
Space group I4/mmm (No. 139)
One atom of each set of equivalent atoms:
Sc 0.0000 0.0000 0.1695 (multiplicity 4)
Sc 0.0000 0.2515 0.3103 (multiplicity 16)
Sc 0.0000 0.3361 0.1028 (multiplicity 16)
Sc 0.1717 0.1717 0.5000 (multiplicity 8)
Al 0.1273 0.1273 0.0000 (multiplicity 8)
Ge 0.0000 0.0000 0.3820 (multiplicity 4)
Ge 0.0000 0.3529 0.5000 (multiplicity 8)
Ge 0.0000 0.5000 0.2500 (multiplicity 4)
Ge 0.2038 0.2038 0.1705 (multiplicity 16)



For Tm2AlSiGe, the GGA-PBE geometry in Alexandria gives the computed X-ray powder pattern in this record (CuKα).

Principal peaks in the range 2θ = 10–90°, by angle:
2theta	I (rel.)	hkl
12.45	27	0 0 1
25.45	30	0 1 1
30.95	17	1 1 1
32.63	100	1 0 2
33.70	46	2 1 -1
35.05	53	2 1 0
35.26	25	1 0 -3
39.77	20	1 1 2
45.11	26	0 2 0
56.76	23	1 2 2

Crystal structure
Cell lengths 7.1352, 4.0200, 7.6369 Å; angles 90.00, 111.43, 90.00 degrees
Space group P2_1/m (No. 11)
One atom of each set of equivalent atoms:
Tm 0.0509 0.2500 0.1952 (multiplicity 2)
Tm 0.3692 0.7500 0.5943 (multiplicity 2)
Al 0.3483 0.2500 0.9560 (multiplicity 2)
Si 0.3383 0.7500 0.1832 (multiplicity 2)
Ge 0.0922 0.2500 0.6139 (multiplicity 2)